[1]
Theoretical PXRD pattern
Compound: Mg4Sb2O9
Radiation: Cu Ka
Structure: a DFT-relaxed cell (GGA-PBE, the Materials Project)
No peak broadening, texture or thermal motion is included.

Structure:
```
data_Mg4Sb2O9
_chemical_formula_sum 'Mg8 Sb4 O18'
_cell_length_a 5.2459
_cell_length_b 5.6350
_cell_length_c 11.8632
_cell_angle_alpha 98.23
_cell_angle_beta 102.75
_cell_angle_gamma 90.54
_space_group_name_H-M_alt 'P 1'
_space_group_IT_number 1
_space_group_name_Hall 'P 1'
loop_
_atom_site_label
_atom_site_type_symbol
_atom_site_fract_x
_atom_site_fract_y
_atom_site_fract_z
_atom_site_occupancy
Mg1 Mg 0.0344 0.3395 0.0954 1
Mg2 Mg 0.1169 0.8285 0.2299 1
Mg3 Mg 0.2768 0.0156 0.5796 1
Mg4 Mg 0.3859 0.6712 0.7676 1
Mg5 Mg 0.6141 0.3288 0.2324 1
Mg6 Mg 0.7232 0.9844 0.4204 1
Mg7 Mg 0.8831 0.1715 0.7701 1
Mg8 Mg 0.9656 0.6605 0.9046 1
Sb1 Sb 0.2141 0.5295 0.4265 1
Sb2 Sb 0.4438 0.1507 0.8939 1
Sb3 Sb 0.5562 0.8493 0.1061 1
Sb4 Sb 0.7859 0.4705 0.5735 1
O1 O 0.0736 0.8476 0.4034 1
O2 O 0.1283 0.9198 0.8339 1
O3 O 0.1394 0.6359 0.5961 1
O4 O 0.2071 0.6826 0.0678 1
O5 O 0.2243 0.4079 0.8344 1
O6 O 0.2808 0.4761 0.2718 1
O7 O 0.3767 0.1728 0.0579 1
O8 O 0.4386 0.2695 0.4971 1
O9 O 0.4823 0.9832 0.2631 1
O10 O 0.5177 0.0168 0.7369 1
O11 O 0.5614 0.7305 0.5029 1
O12 O 0.6233 0.8272 0.9421 1
O13 O 0.7192 0.5239 0.7282 1
O14 O 0.7757 0.5921 0.1656 1
O15 O 0.7929 0.3174 0.9322 1
O16 O 0.8606 0.3641 0.4039 1
O17 O 0.8717 0.0802 0.1661 1
O18 O 0.9264 0.1524 0.5966 1
```

Principal peaks in the range 2θ from 10° to 90°, by angle:
d (Å)  Rel. int.
4.739  100
4.324  79
3.814  48
2.804  97
2.787  50
2.623  88
2.614  42
2.288  75
1.907  41
1.542  40



[2]
Theoretical PXRD pattern
Compound: MgSb2O
Radiation: Cu Ka
Structure: a DFT-relaxed cell (GGA-PBE, the Materials Project)
No peak broadening, texture or thermal motion is included.

Structure:
```
data_MgSb2O
_chemical_formula_sum 'Mg6 Sb12 O6'
_cell_length_a 9.5599
_cell_length_b 9.5599
_cell_length_c 6.4776
_cell_angle_alpha 90.07
_cell_angle_beta 90.07
_cell_angle_gamma 119.94
_space_group_name_H-M_alt 'P 1'
_space_group_IT_number 1
_space_group_name_Hall 'P 1'
loop_
_atom_site_label
_atom_site_type_symbol
_atom_site_fract_x
_atom_site_fract_y
_atom_site_fract_z
_atom_site_occupancy
Mg1 Mg 0.1401 0.5003 0.6387 1
Mg2 Mg 0.1407 0.1407 0.3629 1
Mg3 Mg 0.5003 0.1401 0.6387 1
Mg4 Mg 0.4997 0.8599 0.3613 1
Mg5 Mg 0.8593 0.8593 0.6371 1
Mg6 Mg 0.8599 0.4997 0.3613 1
Sb1 Sb 0.1260 0.1260 0.8765 1
Sb2 Sb 0.1267 0.5004 0.1225 1
Sb3 Sb 0.1668 0.8332 0.0000 1
Sb4 Sb 0.1665 0.8335 0.5000 1
Sb5 Sb 0.5004 0.1267 0.1225 1
Sb6 Sb 0.5000 0.5000 0.0000 1
Sb7 Sb 0.5000 0.5000 0.5000 1
Sb8 Sb 0.4996 0.8733 0.8775 1
Sb9 Sb 0.8332 0.1668 0.0000 1
Sb10 Sb 0.8335 0.1665 0.5000 1
Sb11 Sb 0.8733 0.4996 0.8775 1
Sb12 Sb 0.8740 0.8740 0.1235 1
O1 O 0.3374 0.3374 0.2992 1
O2 O 0.3387 0.5006 0.7004 1
O3 O 0.4994 0.6613 0.2996 1
O4 O 0.5006 0.3387 0.7004 1
O5 O 0.6613 0.4994 0.2996 1
O6 O 0.6626 0.6626 0.7008 1
```

Principal peaks in the range 2θ from 10° to 90°, by angle:
d (Å)  Rel. int.
6.478  19
4.781  21
3.847  28
2.760  100
2.682  94
2.101  25
1.922  20
1.594  13
1.579  17
1.534  18



[3]
Theoretical PXRD pattern
Compound: MgSbO3
Radiation: Cu Ka
Structure: a DFT-relaxed cell (GGA-PBE, the Materials Project)
No peak broadening, texture or thermal motion is included.

Structure:
```
data_MgSbO3
_chemical_formula_sum 'Mg4 Sb4 O12'
_cell_length_a 5.5500
_cell_length_b 7.9500
_cell_length_c 5.5653
_cell_angle_alpha 90.00
_cell_angle_beta 91.81
_cell_angle_gamma 90.00
_space_group_name_H-M_alt 'P 1'
_space_group_IT_number 1
_space_group_name_Hall 'P 1'
loop_
_atom_site_label
_atom_site_type_symbol
_atom_site_fract_x
_atom_site_fract_y
_atom_site_fract_z
_atom_site_occupancy
Mg1 Mg 0.0088 0.2500 0.0335 1
Mg2 Mg 0.4789 0.2500 0.5258 1
Mg3 Mg 0.5211 0.7500 0.4742 1
Mg4 Mg 0.9912 0.7500 0.9665 1
Sb1 Sb 0.0000 0.0000 0.5000 1
Sb2 Sb 0.0000 0.5000 0.5000 1
Sb3 Sb 0.5000 0.0000 0.0000 1
Sb4 Sb 0.5000 0.5000 0.0000 1
O1 O 0.1382 0.2500 0.3845 1
O2 O 0.1904 0.5703 0.1489 1
O3 O 0.1904 0.9297 0.1489 1
O4 O 0.3610 0.5685 0.6817 1
O5 O 0.3610 0.9315 0.6817 1
O6 O 0.3622 0.2500 0.9029 1
O7 O 0.6378 0.7500 0.0971 1
O8 O 0.6390 0.0685 0.3183 1
O9 O 0.6390 0.4315 0.3183 1
O10 O 0.8096 0.0703 0.8511 1
O11 O 0.8096 0.4297 0.8511 1
O12 O 0.8618 0.7500 0.6155 1
```

Principal peaks in the range 2θ from 10° to 90°, by angle:
d (Å)  Rel. int.
3.983  100
3.867  47
2.817  76
2.778  71
2.772  72
2.277  35
1.988  19
1.617  58
1.596  20
1.593  18



[4]
Theoretical PXRD pattern
Compound: MgSb4O8
Radiation: Cu Ka
Structure: a DFT-relaxed cell (GGA-PBE, the Materials Project)
No peak broadening, texture or thermal motion is included.

Structure:
```
data_MgSb4O8
_chemical_formula_sum 'Mg1 Sb4 O8'
_cell_length_a 6.3737
_cell_length_b 6.3737
_cell_length_c 6.3737
_cell_angle_alpha 65.38
_cell_angle_beta 65.38
_cell_angle_gamma 65.38
_space_group_name_H-M_alt 'P 1'
_space_group_IT_number 1
_space_group_name_Hall 'P 1'
loop_
_atom_site_label
_atom_site_type_symbol
_atom_site_fract_x
_atom_site_fract_y
_atom_site_fract_z
_atom_site_occupancy
Mg1 Mg 0.0000 0.0000 0.0000 1
Sb1 Sb 0.0000 0.0000 0.5000 1
Sb2 Sb 0.0000 0.5000 0.0000 1
Sb3 Sb 0.5000 0.0000 0.0000 1
Sb4 Sb 0.5000 0.5000 0.5000 1
O1 O 0.2132 0.7592 0.7592 1
O2 O 0.2325 0.2325 0.2325 1
O3 O 0.2408 0.2408 0.7868 1
O4 O 0.2408 0.7868 0.2408 1
O5 O 0.7592 0.2132 0.7592 1
O6 O 0.7592 0.7592 0.2132 1
O7 O 0.7675 0.7675 0.7675 1
O8 O 0.7868 0.2408 0.2408 1
```

Principal peaks in the range 2θ from 10° to 90°, by angle:
d (Å)  Rel. int.
4.982  100
2.924  69
2.769  42
2.330  72
2.111  24
1.736  18
1.721  26
1.627  26
1.583  19
1.416  13



Which formula does entry 3 have?
MgSbO3